Computed powder XRD pattern
Compound: Na2HfMgP2SO12
Radiation: Cu Kα (weighted mean of Kα1 and Kα2)
Structure: a DFT-relaxed cell (GGA-PBE, the Materials Project)

Principal peaks in the range 10 to 80 degrees two-theta, by angle:
hkl 2 0 0, 2θ 13.91, intensity 1000
hkl 2 0 -2, 2θ 19.43, intensity 625
hkl 0 2 0, 2θ 19.91, intensity 165
hkl 3 1 -1, 2θ 20.03, intensity 361
hkl 0 2 1, 2θ 23.19, intensity 262
hkl 2 2 -2, 2θ 27.97, intensity 241
hkl 0 2 2, 2θ 30.98, intensity 283
hkl 3 1 1, 2θ 31.07, intensity 574
hkl 3 3 -1, 2θ 34.92, intensity 215
hkl 6 2 0, 2θ 47.54, intensity 184

Atomic structure:
Unit cell a=15.3242 b=8.9186 c=9.1372 alpha=90.00 beta=124.04 gamma=90.00
Space group Cc (No. 9)
Asymmetric unit:
Na: 0.0000 0.0699 0.0000 (multiplicity 4)
Na: 0.4255 0.2441 0.7461 (multiplicity 4)
Hf: 0.0901 0.2463 0.7040 (multiplicity 4)
Mg: 0.2878 0.2483 0.3142 (multiplicity 4)
P: 0.1942 0.0417 0.5150 (multiplicity 4)
P: 0.3363 0.3998 0.0199 (multiplicity 4)
S: 0.0429 0.3953 0.0127 (multiplicity 4)
O: 0.0392 0.4380 0.5294 (multiplicity 4)
O: 0.0439 0.3706 0.8514 (multiplicity 4)
O: 0.1108 0.1381 0.5291 (multiplicity 4)
O: 0.1158 0.0566 0.8439 (multiplicity 4)
O: 0.1353 0.3284 0.1679 (multiplicity 4)
O: 0.2362 0.3275 0.8530 (multiplicity 4)
O: 0.2543 0.0594 0.1733 (multiplicity 4)
O: 0.2620 0.1451 0.4881 (multiplicity 4)
O: 0.3387 0.3688 0.1849 (multiplicity 4)
O: 0.3437 0.4319 0.4935 (multiplicity 4)
O: 0.4334 0.3228 0.0311 (multiplicity 4)
O: 0.4491 0.1738 0.4905 (multiplicity 4)